1.
Theoretical X-ray powder pattern
Compound: Li4NbFeW2O12
Radiation: Cu Kα (weighted mean of Kα1 and Kα2)
Structure: DFT lattice parameters and positions (PBE+U)
Intensities are scaled so that the largest is 100.

Most intense lines, 10 to 80 degrees two-theta, most intense first:
2θ (°), intensity
23.6, 100.0
32.7, 58.1
23.7, 49.4
20.8, 31.4
34.6, 26.0
53.2, 25.9
42.3, 21.0
60.8, 14.7
53.1, 13.1
34.6, 13.1

Cell and atoms:
a b c (Å): 5.181 5.489 7.576
angles (deg): 94.55 90.08 90.11
Atoms (fractional coordinates):
Li1 0.000 0.000 0.000
Li2 0.006 0.038 0.445
Li3 0.497 0.477 0.001
Li4 0.503 0.474 0.465
Nb1 0.003 0.547 0.707
Fe1 0.502 0.055 0.195
W1 0.008 0.566 0.204
W2 0.499 0.045 0.692
O1 0.126 0.580 0.441
O2 0.186 0.891 0.749
O3 0.195 0.277 0.128
O4 0.295 0.761 0.123
O5 0.321 0.384 0.749
O6 0.386 0.091 0.452
O7 0.621 0.082 0.927
O8 0.685 0.760 0.623
O9 0.699 0.388 0.242
O10 0.809 0.259 0.623
O11 0.823 0.878 0.240
O12 0.874 0.576 0.941

=====

2.
Theoretical X-ray powder pattern
Compound: Li2Fe2NiO6
Radiation: Cu Kα (weighted mean of Kα1 and Kα2)
Structure: DFT lattice parameters and positions (PBE+U)
Intensities are scaled so that the largest is 100.

Most intense lines, 10 to 80 degrees two-theta, most intense first:
2θ (°), intensity
17.5, 100.0
44.8, 34.4
36.7, 31.3
39.9, 22.5
58.3, 17.2
64.6, 14.5
51.0, 14.1
35.6, 7.7
78.0, 6.4
75.6, 5.6

Cell and atoms:
a b c (Å): 5.049 5.049 10.159
angles (deg): 90.00 90.00 59.98
Atoms (fractional coordinates):
Li1 0.159 0.341 0.250
Li2 0.341 0.159 0.750
Li3 0.659 0.841 0.250
Li4 0.841 0.659 0.750
Fe1 0.164 0.164 0.000
Fe2 0.336 0.336 0.500
Fe3 0.664 0.664 0.500
Fe4 0.836 0.836 0.000
Ni1 0.000 0.000 0.500
Ni2 0.500 0.500 0.000
O1 0.007 0.356 0.605
O2 0.144 0.493 0.895
O3 0.149 0.851 0.098
O4 0.351 0.649 0.598
O5 0.356 0.007 0.395
O6 0.493 0.144 0.105
O7 0.507 0.856 0.895
O8 0.644 0.993 0.605
O9 0.649 0.351 0.402
O10 0.851 0.149 0.902
O11 0.856 0.507 0.105
O12 0.993 0.644 0.395

=====

3.
Theoretical X-ray powder pattern
Compound: Li5Fe5Ni2O12
Radiation: Cu Kα (weighted mean of Kα1 and Kα2)
Structure: DFT lattice parameters and positions (PBE+U)
Intensities are scaled so that the largest is 100.

Most intense lines, 10 to 80 degrees two-theta, most intense first:
2θ (°), intensity
43.0, 100.0
62.5, 54.0
42.9, 50.0
18.3, 40.1
23.3, 34.5
62.2, 28.1
37.0, 25.0
19.9, 22.0
20.8, 14.3
36.9, 14.3

Cell and atoms:
a b c (Å): 5.155 5.155 9.841
angles (deg): 95.00 95.00 119.74
Atoms (fractional coordinates):
Li1 0.000 0.000 0.000
Li2 0.248 0.260 0.760
Li3 0.398 0.072 0.238
Li4 0.740 0.752 0.240
Li5 0.928 0.602 0.762
Fe1 0.075 0.404 0.237
Fe2 0.164 0.836 0.500
Fe3 0.501 0.499 0.500
Fe4 0.596 0.925 0.763
Fe5 0.657 0.343 0.000
Ni1 0.330 0.670 0.000
Ni2 0.832 0.168 0.500
O1 0.028 0.685 0.125
O2 0.132 0.139 0.381
O3 0.229 0.565 0.622
O4 0.315 0.972 0.875
O5 0.367 0.379 0.123
O6 0.435 0.771 0.378
O7 0.529 0.198 0.616
O8 0.621 0.633 0.877
O9 0.707 0.065 0.127
O10 0.802 0.471 0.384
O11 0.861 0.868 0.619
O12 0.935 0.293 0.873

=====

4.
Theoretical X-ray powder pattern
Compound: Li2Fe2NiO6
Radiation: Cu Kα (weighted mean of Kα1 and Kα2)
Structure: DFT lattice parameters and positions (PBE+U)
Intensities are scaled so that the largest is 100.

Most intense lines, 10 to 80 degrees two-theta, most intense first:
2θ (°), intensity
18.3, 100.0
43.8, 40.1
36.4, 36.0
44.1, 19.0
64.3, 10.3
63.5, 10.2
57.5, 9.8
67.7, 8.8
38.1, 7.4
48.1, 7.3

Cell and atoms:
a b c (Å): 7.697 7.697 5.920
angles (deg): 101.91 101.91 68.55
Atoms (fractional coordinates):
Li1 0.164 0.509 0.665
Li2 0.168 0.832 0.000
Li3 0.491 0.836 0.335
Li4 0.509 0.164 0.665
Li5 0.832 0.168 0.000
Li6 0.836 0.491 0.335
Fe1 0.168 0.168 0.832
Fe2 0.170 0.500 0.169
Fe3 0.500 0.170 0.169
Fe4 0.500 0.830 0.831
Fe5 0.830 0.500 0.831
Fe6 0.832 0.832 0.168
Ni1 0.162 0.838 0.500
Ni2 0.500 0.500 0.500
Ni3 0.838 0.162 0.500
O1 0.000 0.343 0.621
O2 0.000 0.657 0.379
O3 0.007 0.345 0.056
O4 0.021 0.021 0.756
O5 0.311 0.656 0.253
O6 0.323 0.323 0.936
O7 0.335 0.335 0.387
O8 0.343 0.000 0.621
O9 0.344 0.689 0.747
O10 0.345 0.007 0.056
O11 0.655 0.993 0.944
O12 0.656 0.311 0.253
O13 0.657 0.000 0.379
O14 0.665 0.665 0.613
O15 0.677 0.677 0.064
O16 0.689 0.344 0.747
O17 0.979 0.979 0.244
O18 0.993 0.655 0.944

=====

Repeat the third record exactly.
Theoretical X-ray powder pattern
Compound: Li5Fe5Ni2O12
Radiation: Cu Kα (weighted mean of Kα1 and Kα2)
Structure: DFT lattice parameters and positions (PBE+U)
Intensities are scaled so that the largest is 100.

Most intense lines, 10 to 80 degrees two-theta, most intense first:
2θ (°), intensity
43.0, 100.0
62.5, 54.0
42.9, 50.0
18.3, 40.1
23.3, 34.5
62.2, 28.1
37.0, 25.0
19.9, 22.0
20.8, 14.3
36.9, 14.3

Cell and atoms:
a b c (Å): 5.155 5.155 9.841
angles (deg): 95.00 95.00 119.74
Atoms (fractional coordinates):
Li1 0.000 0.000 0.000
Li2 0.248 0.260 0.760
Li3 0.398 0.072 0.238
Li4 0.740 0.752 0.240
Li5 0.928 0.602 0.762
Fe1 0.075 0.404 0.237
Fe2 0.164 0.836 0.500
Fe3 0.501 0.499 0.500
Fe4 0.596 0.925 0.763
Fe5 0.657 0.343 0.000
Ni1 0.330 0.670 0.000
Ni2 0.832 0.168 0.500
O1 0.028 0.685 0.125
O2 0.132 0.139 0.381
O3 0.229 0.565 0.622
O4 0.315 0.972 0.875
O5 0.367 0.379 0.123
O6 0.435 0.771 0.378
O7 0.529 0.198 0.616
O8 0.621 0.633 0.877
O9 0.707 0.065 0.127
O10 0.802 0.471 0.384
O11 0.861 0.868 0.619
O12 0.935 0.293 0.873

=====

- Which formula does entry 4 have?
  Li2Fe2NiO6